For Ag2Mo2O7, the PBE+U geometry in Alexandria gives the simulated X-ray diffraction stick pattern in this record (a wavelength of 1.5418 Å).

Most intense lines, 10° ≤ 2θ ≤ 90°, by intensity:
2θ/deg  Rel. int.  (hkl)
30.83  100  1 4 0
26.69  31  1 2 -2
27.01  26  0 2 2
30.64  20  1 3 -2
30.93  19  0 3 2
49.22  16  3 3 -2
32.32  16  2 1 -2
24.03  15  1 1 -2
31.59  13  2 1 0
44.76  13  1 0 -4

Crystal structure
a b c (Å): 6.1890 13.4070 8.1007
angles (deg): 90.00 110.52 90.00
Space group P2_1/c (No. 14)
Asymmetric unit:
1 Ag 0.0413 0.0949 0.4088
2 Ag 0.4242 0.7265 0.9784
3 Mo 0.0220 0.1218 0.8992
4 Mo 0.4700 0.0032 0.1973
5 O 0.0632 0.6248 0.8351
6 O 0.1486 0.0420 0.1546
7 O 0.1701 0.2360 0.9683
8 O 0.2555 0.6391 0.5690
9 O 0.3216 0.0447 0.9186
10 O 0.3909 0.6187 0.2253
11 O 0.4406 0.0727 0.6119

For Ag2Mo2O7, the PBE+U geometry in Alexandria gives the simulated X-ray diffraction stick pattern in this record (a wavelength of 1.5418 Å).

Most intense lines, 10° ≤ 2θ ≤ 90°, by intensity:
2θ/deg  Rel. int.  (hkl)
25.94  100  0 0 2
28.44  77  1 2 -1
29.67  75  2 0 -1
26.83  73  1 -2 1
12.89  71  0 0 1
34.23  45  -1 2 1
39.35  41  0 0 3
35.74  41  2 0 1
31.83  39  1 -2 2
48.90  36  3 -2 0

Crystal structure
a b c (Å): 6.1494 7.7115 7.8923
angles (deg): 116.12 100.81 94.24
Space group P-1 (No. 2)
Asymmetric unit:
1 Ag 0.1269 0.2046 0.1905
2 Ag 0.3307 0.9928 0.7980
3 Mo 0.1424 0.7283 0.2243
4 Mo 0.3308 0.5041 0.7987
5 O 0.0419 0.5727 0.8748
6 O 0.1635 0.2468 0.7923
7 O 0.2350 0.9480 0.2138
8 O 0.2398 0.7842 0.4679
9 O 0.2633 0.4036 0.5472
10 O 0.3970 0.5893 0.1359
11 O 0.4561 0.7538 0.8748

For Ag3Mo2O8, the PBE+U geometry in Alexandria gives the simulated X-ray diffraction stick pattern in this record (a wavelength of 1.5418 Å).

Most intense lines, 10° ≤ 2θ ≤ 90°, by intensity:
2θ/deg  Rel. int.  (hkl)
29.50  100  2 2 1
25.85  65  1 3 1
33.91  52  0 2 3
56.64  41  2 4 4
24.70  40  1 1 2
27.32  22  0 4 0
31.69  19  2 0 2
49.66  18  2 6 1
48.98  17  4 0 0
37.96  16  1 5 1

Crystal structure
a b c (Å): 7.4384 13.0562 8.6771
angles (deg): 90.00 90.00 90.00
Space group Cmce (No. 64)
Asymmetric unit:
1 Ag 0.0000 0.0000 0.0000
2 Ag 0.2500 0.1303 0.2500
3 Mo 0.0000 0.1329 0.6127
4 O 0.0000 0.0272 0.7493
5 O 0.0000 0.2458 0.2118
6 O 0.2000 0.1226 0.4967

For PaAg2MoO8, the PBE+U geometry in Alexandria gives the simulated X-ray diffraction stick pattern in this record (a wavelength of 1.5418 Å).

Most intense lines, 10° ≤ 2θ ≤ 90°, by intensity:
2θ/deg  Rel. int.  (hkl)
28.46  100  1 1 0
16.32  65  1 0 0
22.31  59  1 0 1
42.20  49  1 1 2
34.77  29  0 1 2
54.57  22  1 2 2
46.88  20  2 1 1
50.39  19  3 0 0
36.46  19  2 0 1
45.53  18  2 0 2

Crystal structure
a b c (Å): 6.2727 6.2727 5.8632
angles (deg): 90.00 90.00 120.00
Space group P-3m1 (No. 164)
Asymmetric unit:
1 Pa 0.0000 0.0000 0.0000
2 Ag 0.3333 0.6667 0.5648
3 Mo 0.0000 0.0000 0.5000
4 O 0.1369 0.2738 0.7196
5 O 0.3333 0.6667 0.2130

For AgMoPbO4, the PBE+U geometry in Alexandria gives the simulated X-ray diffraction stick pattern in this record (a wavelength of 1.5418 Å).

Most intense lines, 10° ≤ 2θ ≤ 90°, by intensity:
2θ/deg  Rel. int.  (hkl)
27.85  100  1 1 -2
27.06  96  1 1 1
32.99  95  2 1 -1
30.71  82  0 2 0
22.25  81  1 0 1
23.18  60  1 0 -2
47.51  55  0 2 3
38.25  54  1 2 1
19.18  44  0 1 1
48.15  38  2 1 2

Crystal structure
a b c (Å): 6.1441 5.8219 8.1041
angles (deg): 90.00 109.89 90.00
Space group P2_1/m (No. 11)
Asymmetric unit:
1 Ag 0.0956 0.2500 0.0384
2 Mo 0.4943 0.2500 0.6796
3 Pb 0.2060 0.7500 0.7117
4 O 0.1923 0.2500 0.5544
5 O 0.3273 0.7500 0.4560
6 O 0.4589 0.0037 0.1831

For AgMoPdO5, the PBE+U geometry in Alexandria gives the simulated X-ray diffraction stick pattern in this record (a wavelength of 1.5418 Å).

Most intense lines, 10° ≤ 2θ ≤ 90°, by intensity:
2θ/deg  Rel. int.  (hkl)
26.65  100  2 0 0
27.10  34  1 1 -2
27.60  26  1 3 -1
32.06  24  0 2 2
20.70  16  0 2 1
47.09  12  3 3 0
54.95  11  4 0 0
34.23  10  2 2 -2
53.41  9  2 0 -4
36.45  9  1 1 2

Crystal structure
a b c (Å): 7.2336 11.6168 6.8974
angles (deg): 90.00 112.58 90.00
Space group C2/c (No. 15)
Asymmetric unit:
1 Ag 0.0000 0.2279 0.2500
2 Mo 0.0000 0.1222 0.7500
3 Pd 0.0000 0.5000 0.0000
4 O 0.0000 0.4265 0.2500
5 O 0.0811 0.2137 0.5893
6 O 0.2019 0.0306 0.9152

For SmAg2MoO6, the PBE+U geometry in Alexandria gives the simulated X-ray diffraction stick pattern in this record (a wavelength of 1.5418 Å).

Most intense lines, 10° ≤ 2θ ≤ 90°, by intensity:
2θ/deg  Rel. int.  (hkl)
30.48  100  1 0 -1
29.47  56  0 1 -1
31.16  54  1 2 1
30.95  49  1 -1 0
31.48  47  2 1 1
43.53  25  2 0 2
55.62  24  3 0 1
44.48  22  0 2 2
43.79  22  2 2 0
55.38  19  3 1 0

Crystal structure
a b c (Å): 5.6843 5.7456 5.8745
angles (deg): 62.91 61.11 60.78
Space group P1 (No. 1)
Asymmetric unit:
1 Sm 0.0000 0.0000 0.0000
2 Ag 0.2981 0.2882 0.1349
3 Ag 0.7635 0.7529 0.7469
4 Mo 0.5037 0.5085 0.4909
5 O 0.1543 0.3709 0.7912
6 O 0.2721 0.7899 0.2923
7 O 0.3830 0.7245 0.7268
8 O 0.5991 0.2393 0.3190
9 O 0.6888 0.1660 0.7753
10 O 0.8451 0.5845 0.2855

For AgTeMoO6, the PBE+U geometry in Alexandria gives the simulated X-ray diffraction stick pattern in this record (a wavelength of 1.5418 Å).

Most intense lines, 10° ≤ 2θ ≤ 90°, by intensity:
2θ/deg  Rel. int.  (hkl)
25.80  100  1 0 2
48.97  45  1 1 4
33.47  40  1 1 0
55.35  23  2 1 2
42.74  22  2 0 2
17.14  16  0 0 2
59.84  13  3 0 0
37.84  10  1 1 2
56.98  9  1 0 6
76.30  9  4 -1 2

Crystal structure
a b c (Å): 5.3542 5.3542 10.3459
angles (deg): 90.00 90.00 120.00
Space group P-31c (No. 163)
Asymmetric unit:
1 Ag 0.0000 0.0000 0.0000
2 Te 0.3333 0.6667 0.2500
3 Mo 0.3333 0.6667 0.7500
4 O 0.0060 0.3911 0.1435

For AgMoWO6, the PBE+U geometry in Alexandria gives the simulated X-ray diffraction stick pattern in this record (a wavelength of 1.5418 Å).

Most intense lines, 10° ≤ 2θ ≤ 90°, by intensity:
2θ/deg  Rel. int.  (hkl)
26.02  100  1 0 2
49.41  48  1 1 4
33.69  46  1 1 0
17.32  25  0 0 2
43.06  23  2 0 2
55.76  23  2 1 2
38.13  16  1 1 2
60.26  15  3 0 0
21.15  13  1 0 1
35.06  11  0 0 4

Crystal structure
a b c (Å): 5.3200 5.3200 10.2392
angles (deg): 90.00 90.00 120.00
Space group P-31c (No. 163)
Asymmetric unit:
1 Ag 0.0000 0.0000 0.0000
2 Mo 0.3333 0.6667 0.2500
3 W 0.3333 0.6667 0.7500
4 O 0.0075 0.3819 0.6449